For MnTl2SnO4, DFT lattice parameters and positions (PBE+U) gives the theoretical powder XRD pattern in this record (Cu Kα X-rays).

Most intense lines, 15 to 90 degrees two-theta, most intense first:
index	2θ (°)	I/Imax
2 1 1	31.77	100
0 2 1	26.15	95
2 4 1	52.57	57
0 1 1	18.91	52
0 0 2	31.93	46
2 1 0	27.37	40

a = 7.044 Å, b = 8.582 Å, c = 5.605 Å
α = 90.00°, β = 90.00°, γ = 90.00°
Atoms (fractional coordinates):
Mn: 0.000 0.117 0.000
Mn: 0.500 0.883 0.500
Tl: 0.250 0.318 0.513
Tl: 0.250 0.682 0.013
Tl: 0.750 0.318 0.513
Tl: 0.750 0.682 0.013
Sn: 0.000 0.894 0.497
Sn: 0.500 0.106 0.997
O: 0.000 0.112 0.625
O: 0.000 0.890 0.140
O: 0.239 0.792 0.603
O: 0.261 0.208 0.103
O: 0.500 0.110 0.640
O: 0.500 0.888 0.125
O: 0.739 0.208 0.103
O: 0.761 0.792 0.603